[1]
WCl: simulated PXRD pattern (copper Kα), based on a DFT-relaxed cell (PBE, Alexandria).
Peak positions follow from Bragg's law for the DFT cell and can differ from measured ones.

Principal peaks in the range 5° ≤ 2θ ≤ 70°, most intense first:
2θ/deg	Rel. int.	(hkl)
9.56	100	0 0 1
38.02	36	1 0 2
44.09	24	0 1 3
33.95	15	1 0 1
32.50	12	1 0 0
57.99	9	1 1 0
58.92	7	1 1 1
51.61	5	0 1 4

Atomic structure:
Unit cell a=3.1810 b=3.1810 c=9.2474 alpha=90.00 beta=90.00 gamma=120.00
Space group P-3m1 (No. 164)
One atom of each set of equivalent atoms:
W 0.3333 0.6667 0.0997 [2 per cell]
Cl 0.3333 0.6667 0.7030 [2 per cell]


[2]
Ge2IrI: simulated PXRD pattern (copper Kα), based on a DFT-relaxed cell (PBE, Alexandria).
Peak positions follow from Bragg's law for the DFT cell and can differ from measured ones.

Principal peaks in the range 5° ≤ 2θ ≤ 70°, most intense first:
2θ/deg	Rel. int.	(hkl)
24.93	100	1 1 2
41.97	37	2 0 4
47.58	31	3 1 2
51.21	23	1 1 6
15.81	20	1 0 1
66.79	16	3 1 6
39.85	16	2 2 0
27.89	16	2 0 0

Atomic structure:
Unit cell a=6.398 b=6.398 c=11.638 alpha=90.00 beta=90.00 gamma=90.00
Space group I-42d (No. 122)
One atom of each set of equivalent atoms:
Ge 0.147 0.250 0.125 [8 per cell]
Ir 0.000 0.000 0.000 [4 per cell]
I 0.000 0.000 0.500 [4 per cell]


[3]
Re7Tc3: simulated PXRD pattern (copper Kα), based on a DFT-relaxed cell (PBE, Alexandria).
Peak positions follow from Bragg's law for the DFT cell and can differ from measured ones.

Principal peaks in the range 5° ≤ 2θ ≤ 70°, most intense first:
2θ/deg	Rel. int.	(hkl)
41.67	100	5 1 0
41.31	85	1 1 2
41.10	54	0 2 0
39.24	39	4 0 -2
58.13	25	4 2 -2
48.75	19	5 1 -2
33.31	15	0 0 2
62.07	15	6 0 2

Atomic structure:
Unit cell a=12.764 b=4.392 c=5.510 alpha=90.00 beta=102.49 gamma=90.00
Space group C2/m (No. 12)
One atom of each set of equivalent atoms:
Re 0.000 0.000 0.000 [2 per cell]
Re 0.100 0.500 0.296 [4 per cell]
Re 0.100 0.500 0.802 [4 per cell]
Re 0.210 0.000 0.354 [4 per cell]
Tc 0.000 0.000 0.500 [2 per cell]
Tc 0.208 0.000 0.856 [4 per cell]


[4]
Pa2Si2Pt: simulated PXRD pattern (copper Kα), based on a DFT-relaxed cell (PBE, Alexandria).
Peak positions follow from Bragg's law for the DFT cell and can differ from measured ones.

Principal peaks in the range 5° ≤ 2θ ≤ 70°, most intense first:
2θ/deg	Rel. int.	(hkl)
36.82	100	2 1 1
27.49	69	1 1 1
31.16	47	2 1 0
33.96	46	2 0 1
44.65	43	3 1 0
60.61	35	3 1 2
38.80	35	0 0 2
50.58	26	2 1 2

Atomic structure:
Unit cell a=6.418 b=6.418 c=4.642 alpha=90.00 beta=90.00 gamma=90.00
Space group P4/mbm (No. 127)
One atom of each set of equivalent atoms:
Pa 0.153 0.347 0.000 [4 per cell]
Si 0.137 0.637 0.500 [4 per cell]
Pt 0.000 0.000 0.500 [2 per cell]


[5]
TmGa2: simulated PXRD pattern (copper Kα), based on a DFT-relaxed cell (PBE, Alexandria).
Peak positions follow from Bragg's law for the DFT cell and can differ from measured ones.

Principal peaks in the range 5° ≤ 2θ ≤ 70°, most intense first:
2θ/deg	Rel. int.	(hkl)
35.37	100	1 2 1
33.19	59	1 1 2
39.44	37	1 0 3
34.12	35	0 2 2
42.69	30	2 0 0
65.11	24	1 3 4
35.57	22	0 1 3
40.87	18	0 3 1

Atomic structure:
Unit cell a=4.236 b=6.883 c=8.138 alpha=90.00 beta=90.00 gamma=90.00
Space group Imma (No. 74)
One atom of each set of equivalent atoms:
Tm 0.000 0.250 0.059 [4 per cell]
Ga 0.000 0.050 0.661 [8 per cell]


[6]
PmPaAsO2: simulated PXRD pattern (copper Kα), based on a DFT-relaxed cell (PBE, Alexandria).
Peak positions follow from Bragg's law for the DFT cell and can differ from measured ones.

Principal peaks in the range 5° ≤ 2θ ≤ 70°, most intense first:
2θ/deg	Rel. int.	(hkl)
31.87	100	1 0 3
32.98	46	1 1 0
58.20	37	2 1 3
24.27	30	1 0 1
47.33	22	2 0 0
44.44	19	1 1 4
56.09	14	1 1 6
57.52	10	1 0 7

Atomic structure:
Unit cell a=3.841 b=3.841 c=12.341 alpha=90.00 beta=90.00 gamma=90.00
Space group I4mm (No. 107)
One atom of each set of equivalent atoms:
Pm 0.000 0.000 0.000 [2 per cell]
Pa 0.000 0.000 0.713 [2 per cell]
As 0.000 0.000 0.355 [2 per cell]
O 0.000 0.500 0.116 [4 per cell]


[7]
Pm2SmSn6: simulated PXRD pattern (copper Kα), based on a DFT-relaxed cell (PBE, Alexandria).
Peak positions follow from Bragg's law for the DFT cell and can differ from measured ones.

Principal peaks in the range 5° ≤ 2θ ≤ 70°, most intense first:
2θ/deg	Rel. int.	(hkl)
32.93	100	1 0 5
40.18	19	2 0 0
33.16	15	0 2 4
31.61	14	1 1 4
68.44	13	3 0 5
40.88	12	0 2 6
42.01	12	0 3 3
62.54	12	1 3 8

Atomic structure:
Unit cell a=4.489 b=6.967 c=17.123 alpha=90.00 beta=90.00 gamma=90.00
Space group Imm2 (No. 44)
One atom of each set of equivalent atoms:
Pm 0.000 0.000 0.000 [2 per cell]
Pm 0.000 0.000 0.232 [2 per cell]
Sm 0.000 0.500 0.059 [2 per cell]
Sn 0.000 0.211 0.808 [4 per cell]
Sn 0.000 0.212 0.425 [4 per cell]
Sn 0.000 0.283 0.623 [4 per cell]


[8]
La3Zn3Ru2: simulated PXRD pattern (copper Kα), based on a DFT-relaxed cell (PBE, Alexandria).
Peak positions follow from Bragg's law for the DFT cell and can differ from measured ones.

Principal peaks in the range 5° ≤ 2θ ≤ 70°, most intense first:
2θ/deg	Rel. int.	(hkl)
31.76	100	1 1 4
37.22	87	1 3 3
33.94	60	0 4 1
39.96	48	0 4 4
44.62	44	2 0 0
33.46	40	1 3 0
35.66	34	1 1 5
51.10	29	1 3 7

Atomic structure:
Unit cell a=4.062 b=10.685 c=16.816 alpha=90.00 beta=90.00 gamma=90.00
Space group Cmcm (No. 63)
One atom of each set of equivalent atoms:
La 0.000 0.060 0.104 [8 per cell]
La 0.000 0.334 0.250 [4 per cell]
Zn 0.000 0.334 0.031 [8 per cell]
Zn 0.000 0.374 0.750 [4 per cell]
Ru 0.000 0.236 0.620 [8 per cell]